(1)
Structure and computed X-ray powder pattern of Mg4Br3 (a DFT-relaxed cell (GGA-PBE, Alexandria); CuKα).
No peak broadening, texture or thermal motion is included.

Structure:
```
data_Mg4Br3
_chemical_formula_sum 'Mg4 Br3'
_space_group_name_H-M_alt 'P 1'
_space_group_IT_number 1
_space_group_name_Hall 'P 1'
_cell_length_a 6.9795
_cell_length_b 6.9795
_cell_length_c 5.0082
_cell_angle_alpha 90.00
_cell_angle_beta 90.00
_cell_angle_gamma 120.00
loop_
_atom_site_label
_atom_site_fract_x
_atom_site_fract_y
_atom_site_fract_z
Mg1 0.0000 0.0000 0.2467
Mg2 0.0000 0.0000 0.7533
Mg3 0.3333 0.6667 0.5000
Mg4 0.6667 0.3333 0.5000
Br1 0.0000 0.5000 0.0000
Br2 0.5000 0.0000 0.0000
Br3 0.5000 0.5000 0.0000
```

Peak list (12 most intense, 2θ from 10° to 90°, in order of rising 2θ)
6.044 Å, 14.66°, rel. 17; 5.008 Å, 17.71°, rel. 46; 3.022 Å, 29.56°, rel. 77; 2.863 Å, 31.24°, rel. 31; 2.588 Å, 34.67°, rel. 100; 2.313 Å, 38.93°, rel. 25; 1.928 Å, 47.13°, rel. 16; 1.745 Å, 52.44°, rel. 24; 1.688 Å, 54.36°, rel. 18; 1.461 Å, 63.68°, rel. 16; 1.447 Å, 64.40°, rel. 16; 1.114 Å, 87.61°, rel. 14

=====

(2)
Structure and computed X-ray powder pattern of Pt2RhAu (a DFT-relaxed cell (GGA-PBE, Alexandria); CuKα).
No peak broadening, texture or thermal motion is included.

Structure:
```
data_Pt2RhAu
_chemical_formula_sum 'Pt2 Rh1 Au1'
_space_group_name_H-M_alt 'P 1'
_space_group_IT_number 1
_space_group_name_Hall 'P 1'
_cell_length_a 2.8196
_cell_length_b 3.9213
_cell_length_c 5.7495
_cell_angle_alpha 90.00
_cell_angle_beta 90.00
_cell_angle_gamma 90.00
loop_
_atom_site_label
_atom_site_fract_x
_atom_site_fract_y
_atom_site_fract_z
Pt1 0.0000 0.0000 0.2363
Pt2 0.0000 0.0000 0.7637
Rh1 0.5000 0.5000 0.0000
Au1 0.5000 0.5000 0.5000
```

Peak list (12 most intense, 2θ from 10° to 90°, in order of rising 2θ)
2.318 Å, 38.84°, rel. 100; 2.289 Å, 39.36°, rel. 98; 2.013 Å, 45.04°, rel. 66; 1.961 Å, 46.31°, rel. 31; 1.410 Å, 66.30°, rel. 11; 1.405 Å, 66.58°, rel. 42; 1.217 Å, 78.59°, rel. 25; 1.205 Å, 79.58°, rel. 25; 1.190 Å, 80.77°, rel. 12; 1.186 Å, 81.10°, rel. 12; 1.159 Å, 83.37°, rel. 11; 1.145 Å, 84.68°, rel. 11

=====

(3)
Structure and computed X-ray powder pattern of Al4Ge2W3 (a DFT-relaxed cell (GGA-PBE, Alexandria); CuKα).
No peak broadening, texture or thermal motion is included.

Structure:
```
data_Al4Ge2W3
_chemical_formula_sum 'Al4 Ge2 W3'
_space_group_name_H-M_alt 'P 1'
_space_group_IT_number 1
_space_group_name_Hall 'P 1'
_cell_length_a 4.8617
_cell_length_b 4.8617
_cell_length_c 6.7364
_cell_angle_alpha 90.05
_cell_angle_beta 90.05
_cell_angle_gamma 120.05
loop_
_atom_site_label
_atom_site_fract_x
_atom_site_fract_y
_atom_site_fract_z
Al1 0.0000 0.0000 0.0000
Al2 0.4690 0.0062 0.6693
Al3 0.6671 0.3329 0.0000
Al4 0.9938 0.5310 0.3307
Ge1 0.1244 0.3358 0.6701
Ge2 0.6642 0.8756 0.3299
W1 0.3332 0.2098 0.3399
W2 0.3332 0.6668 0.0000
W3 0.7902 0.6668 0.6601
```

Peak list (12 most intense, 2θ from 10° to 90°, in order of rising 2θ)
4.209 Å, 21.11°, rel. 20; 3.570 Å, 24.94°, rel. 89; 2.629 Å, 34.10°, rel. 40; 2.430 Å, 37.00°, rel. 13; 2.286 Å, 39.42°, rel. 100; 2.245 Å, 40.16°, rel. 35; 2.105 Å, 42.97°, rel. 23; 1.971 Å, 46.05°, rel. 64; 1.548 Å, 59.73°, rel. 16; 1.536 Å, 60.27°, rel. 17; 1.385 Å, 67.66°, rel. 15; 1.374 Å, 68.28°, rel. 17

=====

(4)
Structure and computed X-ray powder pattern of Zr2Al3Au2 (a DFT-relaxed cell (GGA-PBE, Alexandria); CuKα).
No peak broadening, texture or thermal motion is included.

Structure:
```
data_Zr2Al3Au2
_chemical_formula_sum 'Zr4 Al6 Au4'
_space_group_name_H-M_alt 'P 1'
_space_group_IT_number 1
_space_group_name_Hall 'P 1'
_cell_length_a 9.9491
_cell_length_b 9.9491
_cell_length_c 6.0361
_cell_angle_alpha 90.00
_cell_angle_beta 90.00
_cell_angle_gamma 154.17
loop_
_atom_site_label
_atom_site_fract_x
_atom_site_fract_y
_atom_site_fract_z
Zr1 0.0176 0.9824 0.7500
Zr2 0.1436 0.8564 0.2500
Zr3 0.8564 0.1436 0.7500
Zr4 0.9824 0.0176 0.2500
Al1 0.1710 0.8290 0.7500
Al2 0.4303 0.5697 0.5215
Al3 0.4303 0.5697 0.9785
Al4 0.5697 0.4303 0.0215
Al5 0.5697 0.4303 0.4785
Al6 0.8290 0.1710 0.2500
Au1 0.2946 0.7054 0.5009
Au2 0.2946 0.7054 0.9991
Au3 0.7054 0.2946 0.0009
Au4 0.7054 0.2946 0.4991
```

Peak list (12 most intense, 2θ from 10° to 90°, in order of rising 2θ)
3.664 Å, 24.29°, rel. 60; 2.923 Å, 30.58°, rel. 41; 2.882 Å, 31.03°, rel. 64; 2.477 Å, 36.27°, rel. 68; 2.352 Å, 38.27°, rel. 100; 2.330 Å, 38.65°, rel. 53; 2.224 Å, 40.57°, rel. 54; 2.100 Å, 43.08°, rel. 80; 1.890 Å, 48.14°, rel. 23; 1.761 Å, 51.94°, rel. 31; 1.632 Å, 56.39°, rel. 23; 1.270 Å, 74.74°, rel. 29

=====

(5)
Structure and computed X-ray powder pattern of Ac5Co3 (a DFT-relaxed cell (GGA-PBE, Alexandria); CuKα).
No peak broadening, texture or thermal motion is included.

Structure:
```
data_Ac5Co3
_chemical_formula_sum 'Ac20 Co12'
_space_group_name_H-M_alt 'P 1'
_space_group_IT_number 1
_space_group_name_Hall 'P 1'
_cell_length_a 8.2708
_cell_length_b 8.2708
_cell_length_c 13.4655
_cell_angle_alpha 90.00
_cell_angle_beta 90.00
_cell_angle_gamma 90.00
loop_
_atom_site_label
_atom_site_fract_x
_atom_site_fract_y
_atom_site_fract_z
Ac1 0.0535 0.6234 0.1141
Ac2 0.0535 0.8766 0.6141
Ac3 0.1234 0.5535 0.3859
Ac4 0.1234 0.9465 0.8859
Ac5 0.2500 0.2500 0.1868
Ac6 0.2500 0.2500 0.6868
Ac7 0.3766 0.5535 0.8859
Ac8 0.3766 0.9465 0.3859
Ac9 0.4465 0.6234 0.6141
Ac10 0.4465 0.8766 0.1141
Ac11 0.5535 0.1234 0.8859
Ac12 0.5535 0.3766 0.3859
Ac13 0.6234 0.0535 0.6141
Ac14 0.6234 0.4465 0.1141
Ac15 0.7500 0.7500 0.3132
Ac16 0.7500 0.7500 0.8132
Ac17 0.8766 0.0535 0.1141
Ac18 0.8766 0.4465 0.6141
Ac19 0.9465 0.1234 0.3859
Ac20 0.9465 0.3766 0.8859
Co1 0.1216 0.6216 0.7500
Co2 0.1216 0.8784 0.2500
Co3 0.2500 0.2500 0.4756
Co4 0.2500 0.2500 0.9756
Co5 0.3784 0.6216 0.2500
Co6 0.3784 0.8784 0.7500
Co7 0.6216 0.1216 0.2500
Co8 0.6216 0.3784 0.7500
Co9 0.7500 0.7500 0.0244
Co10 0.7500 0.7500 0.5244
Co11 0.8784 0.1216 0.7500
Co12 0.8784 0.3784 0.2500
```

Peak list (12 most intense, 2θ from 10° to 90°, in order of rising 2θ)
3.567 Å, 24.97°, rel. 47; 3.366 Å, 26.48°, rel. 24; 3.242 Å, 27.51°, rel. 54; 3.118 Å, 28.63°, rel. 16; 2.854 Å, 31.34°, rel. 100; 2.614 Å, 34.30°, rel. 72; 2.567 Å, 34.95°, rel. 24; 2.177 Å, 41.48°, rel. 16; 1.876 Å, 48.52°, rel. 14; 1.849 Å, 49.27°, rel. 16; 1.707 Å, 53.71°, rel. 16; 1.606 Å, 57.37°, rel. 42

=====

(6)
Structure and computed X-ray powder pattern of TlInAs2O7 (a DFT-relaxed cell (GGA-PBE, Alexandria); CuKα).
No peak broadening, texture or thermal motion is included.

Structure:
```
data_TlInAs2O7
_chemical_formula_sum 'Tl4 In4 As8 O28'
_space_group_name_H-M_alt 'P 1'
_space_group_IT_number 1
_space_group_name_Hall 'P 1'
_cell_length_a 7.9921
_cell_length_b 8.8092
_cell_length_c 10.7368
_cell_angle_alpha 88.92
_cell_angle_beta 89.94
_cell_angle_gamma 74.03
loop_
_atom_site_label
_atom_site_fract_x
_atom_site_fract_y
_atom_site_fract_z
Tl1 0.1561 0.4581 0.1776
Tl2 0.1777 0.9374 0.3224
Tl3 0.8223 0.0626 0.6776
Tl4 0.8439 0.5419 0.8224
In1 0.2382 0.2320 0.6019
In2 0.2379 0.7397 0.9040
In3 0.7621 0.2603 0.0960
In4 0.7618 0.7680 0.3981
As1 0.1246 0.6688 0.6025
As2 0.1549 0.1505 0.9249
As3 0.4329 0.3266 0.8586
As4 0.4460 0.7982 0.6307
As5 0.5540 0.2018 0.3693
As6 0.5671 0.6734 0.1414
As7 0.8451 0.8495 0.0751
As8 0.8754 0.3312 0.3975
O1 0.0043 0.2876 0.0072
O2 0.0057 0.7808 0.4835
O3 0.0726 0.7793 0.7346
O4 0.1004 0.4848 0.6188
O5 0.1043 0.1777 0.7698
O6 0.1880 0.9660 0.9856
O7 0.2675 0.4949 0.8673
O8 0.3266 0.9743 0.5692
O9 0.3441 0.2623 0.4204
O10 0.3474 0.6544 0.5658
O11 0.3609 0.1886 0.9553
O12 0.3736 0.6626 0.0830
O13 0.4514 0.7732 0.7890
O14 0.4595 0.2506 0.7115
O15 0.5405 0.7494 0.2885
O16 0.5486 0.2268 0.2110
O17 0.6264 0.3374 0.9170
O18 0.6391 0.8114 0.0447
O19 0.6526 0.3456 0.4342
O20 0.6559 0.7377 0.5796
O21 0.6734 0.0257 0.4308
O22 0.7325 0.5051 0.1327
O23 0.8120 0.0340 0.0144
O24 0.8957 0.8223 0.2302
O25 0.8996 0.5152 0.3812
O26 0.9274 0.2207 0.2654
O27 0.9943 0.2192 0.5165
O28 0.9957 0.7124 0.9928
```

Peak list (12 most intense, 2θ from 10° to 90°, in order of rising 2θ)
7.684 Å, 11.52°, rel. 20; 4.233 Å, 20.99°, rel. 22; 3.701 Å, 24.04°, rel. 19; 3.649 Å, 24.40°, rel. 26; 3.354 Å, 26.58°, rel. 25; 3.273 Å, 27.24°, rel. 21; 3.243 Å, 27.50°, rel. 40; 3.203 Å, 27.85°, rel. 67; 3.176 Å, 28.09°, rel. 100; 3.164 Å, 28.20°, rel. 55; 1.871 Å, 48.68°, rel. 19; 1.671 Å, 54.96°, rel. 20

=====

(7)
Structure and computed X-ray powder pattern of Nb5Ga2Sb (a DFT-relaxed cell (GGA-PBE, Alexandria); CuKα).
No peak broadening, texture or thermal motion is included.

Structure:
```
data_Nb5Ga2Sb
_chemical_formula_sum 'Nb10 Ga4 Sb2'
_space_group_name_H-M_alt 'P 1'
_space_group_IT_number 1
_space_group_name_Hall 'P 1'
_cell_length_a 7.8124
_cell_length_b 7.8124
_cell_length_c 7.8124
_cell_angle_alpha 128.07
_cell_angle_beta 128.07
_cell_angle_gamma 76.52
loop_
_atom_site_label
_atom_site_fract_x
_atom_site_fract_y
_atom_site_fract_z
Nb1 0.0000 0.0000 0.0000
Nb2 0.0145 0.5145 0.8257
Nb3 0.1888 0.0145 0.5000
Nb4 0.3112 0.8112 0.8257
Nb5 0.4855 0.3112 0.5000
Nb6 0.5000 0.5000 0.0000
Nb7 0.5145 0.6888 0.5000
Nb8 0.6888 0.1888 0.1743
Nb9 0.8112 0.9855 0.5000
Nb10 0.9855 0.4855 0.1743
Ga1 0.1327 0.3673 0.5000
Ga2 0.3673 0.8673 0.2347
Ga3 0.6327 0.1327 0.7653
Ga4 0.8673 0.6327 0.5000
Sb1 0.2500 0.2500 0.0000
Sb2 0.7500 0.7500 0.0000
```

Peak list (12 most intense, 2θ from 10° to 90°, in order of rising 2θ)
2.590 Å, 34.63°, rel. 23; 2.450 Å, 36.68°, rel. 100; 2.419 Å, 37.17°, rel. 15; 2.284 Å, 39.46°, rel. 34; 2.163 Å, 41.75°, rel. 58; 2.045 Å, 44.30°, rel. 9; 1.538 Å, 60.18°, rel. 11; 1.530 Å, 60.52°, rel. 9; 1.427 Å, 65.38°, rel. 12; 1.251 Å, 76.07°, rel. 11; 1.229 Å, 77.68°, rel. 8; 1.213 Å, 78.90°, rel. 12

=====

(8)
Structure and computed X-ray powder pattern of Ca3La (a DFT-relaxed cell (GGA-PBE, Alexandria); CuKα).
No peak broadening, texture or thermal motion is included.

Structure:
```
data_Ca3La
_chemical_formula_sum 'Ca6 La2'
_space_group_name_H-M_alt 'P 1'
_space_group_IT_number 1
_space_group_name_Hall 'P 1'
_cell_length_a 3.8412
_cell_length_b 3.8412
_cell_length_c 22.0871
_cell_angle_alpha 90.00
_cell_angle_beta 90.00
_cell_angle_gamma 90.00
loop_
_atom_site_label
_atom_site_fract_x
_atom_site_fract_y
_atom_site_fract_z
Ca1 0.2500 0.2500 0.0638
Ca2 0.2500 0.2500 0.3189
Ca3 0.2500 0.2500 0.8092
Ca4 0.7500 0.7500 0.1908
Ca5 0.7500 0.7500 0.6811
Ca6 0.7500 0.7500 0.9362
La1 0.2500 0.2500 0.5544
La2 0.7500 0.7500 0.4456
```

Peak list (12 most intense, 2θ from 10° to 90°, in order of rising 2θ)
3.406 Å, 26.17°, rel. 8; 3.153 Å, 28.30°, rel. 100; 2.899 Å, 30.85°, rel. 14; 2.761 Å, 32.43°, rel. 16; 2.716 Å, 32.98°, rel. 34; 2.658 Å, 33.72°, rel. 8; 1.936 Å, 46.93°, rel. 22; 1.921 Å, 47.33°, rel. 12; 1.660 Å, 55.35°, rel. 11; 1.640 Å, 56.07°, rel. 27; 1.577 Å, 58.55°, rel. 11; 1.256 Å, 75.74°, rel. 8

=====

(9)
Structure and computed X-ray powder pattern of Cu3SbSe4 (a DFT-relaxed cell (GGA-PBE, Alexandria); CuKα).
No peak broadening, texture or thermal motion is included.

Structure:
```
data_Cu3SbSe4
_chemical_formula_sum 'Cu6 Sb2 Se8'
_space_group_name_H-M_alt 'P 1'
_space_group_IT_number 1
_space_group_name_Hall 'P 1'
_cell_length_a 8.0583
_cell_length_b 6.9559
_cell_length_c 6.6627
_cell_angle_alpha 90.00
_cell_angle_beta 90.00
_cell_angle_gamma 90.00
loop_
_atom_site_label
_atom_site_fract_x
_atom_site_fract_y
_atom_site_fract_z
Cu1 0.0000 0.1660 0.9997
Cu2 0.2494 0.6686 0.0000
Cu3 0.2506 0.3314 0.5000
Cu4 0.5000 0.8340 0.4997
Cu5 0.7494 0.3314 0.5000
Cu6 0.7506 0.6686 0.0000
Sb1 0.0000 0.8326 0.5013
Sb2 0.5000 0.1674 0.0013
Se1 0.0000 0.1885 0.6362
Se2 0.0000 0.8328 0.1012
Se3 0.2321 0.3457 0.1366
Se4 0.2679 0.6543 0.6366
Se5 0.5000 0.1672 0.6012
Se6 0.5000 0.8115 0.1362
Se7 0.7321 0.6543 0.6366
Se8 0.7679 0.3457 0.1366
```

Peak list (12 most intense, 2θ from 10° to 90°, in order of rising 2θ)
3.484 Å, 25.57°, rel. 100; 3.331 Å, 26.76°, rel. 58; 3.087 Å, 28.92°, rel. 66; 2.408 Å, 37.35°, rel. 35; 2.015 Å, 45.00°, rel. 27; 2.010 Å, 45.12°, rel. 54; 1.873 Å, 48.62°, rel. 84; 1.724 Å, 53.13°, rel. 16; 1.721 Å, 53.23°, rel. 32; 1.371 Å, 68.42°, rel. 18; 1.245 Å, 76.55°, rel. 19; 1.132 Å, 85.85°, rel. 19

=====

(10)
Structure and computed X-ray powder pattern of NaTl6Hg6 (a DFT-relaxed cell (GGA-PBE, Alexandria); CuKα).
No peak broadening, texture or thermal motion is included.

Structure:
```
data_NaTl6Hg6
_chemical_formula_sum 'Na1 Tl6 Hg6'
_space_group_name_H-M_alt 'P 1'
_space_group_IT_number 1
_space_group_name_Hall 'P 1'
_cell_length_a 6.7189
_cell_length_b 6.7189
_cell_length_c 10.3531
_cell_angle_alpha 90.00
_cell_angle_beta 90.00
_cell_angle_gamma 120.23
loop_
_atom_site_label
_atom_site_fract_x
_atom_site_fract_y
_atom_site_fract_z
Na1 0.0000 0.0000 0.0000
Tl1 0.0000 0.5000 0.2496
Tl2 0.0000 0.5000 0.7504
Tl3 0.5000 0.0000 0.2496
Tl4 0.5000 0.0000 0.7504
Tl5 0.5000 0.5000 0.2500
Tl6 0.5000 0.5000 0.7500
Hg1 0.0000 0.0000 0.3493
Hg2 0.0000 0.0000 0.6507
Hg3 0.3343 0.6657 0.0000
Hg4 0.3337 0.6663 0.5000
Hg5 0.6657 0.3343 0.0000
Hg6 0.6663 0.3337 0.5000
```

Peak list (12 most intense, 2θ from 10° to 90°, in order of rising 2θ)
5.812 Å, 15.25°, rel. 18; 3.356 Å, 26.56°, rel. 25; 2.913 Å, 30.70°, rel. 12; 2.903 Å, 30.80°, rel. 25; 2.816 Å, 31.78°, rel. 56; 2.588 Å, 34.66°, rel. 18; 2.534 Å, 35.42°, rel. 100; 2.364 Å, 38.06°, rel. 34; 1.680 Å, 54.64°, rel. 20; 1.675 Å, 54.80°, rel. 26; 1.535 Å, 60.30°, rel. 12; 1.409 Å, 66.34°, rel. 11

=====

(11)
Structure and computed X-ray powder pattern of Ti6H2NO (a DFT-relaxed cell (GGA-PBE, Alexandria); CuKα).
No peak broadening, texture or thermal motion is included.

Structure:
```
data_Ti6H2NO
_chemical_formula_sum 'Ti6 H2 N1 O1'
_space_group_name_H-M_alt 'P 1'
_space_group_IT_number 1
_space_group_name_Hall 'P 1'
_cell_length_a 5.1099
_cell_length_b 5.1526
_cell_length_c 5.5852
_cell_angle_alpha 64.62
_cell_angle_beta 64.33
_cell_angle_gamma 61.87
loop_
_atom_site_label
_atom_site_fract_x
_atom_site_fract_y
_atom_site_fract_z
Ti1 0.0000 0.0000 0.0000
Ti2 0.1396 0.4990 0.5098
Ti3 0.3019 0.3425 0.0058
Ti4 0.4814 0.8649 0.4801
Ti5 0.6475 0.7010 0.9782
Ti6 0.7892 0.2070 0.4950
H1 0.0524 0.7908 0.7251
H2 0.5797 0.2639 0.2262
N1 0.3942 0.1003 0.7472
O1 0.8912 0.6034 0.2467
```

Peak list (12 most intense, 2θ from 10° to 90°, in order of rising 2θ)
3.810 Å, 23.35°, rel. 33; 2.415 Å, 37.24°, rel. 100; 2.321 Å, 38.80°, rel. 88; 2.309 Å, 39.01°, rel. 93; 2.297 Å, 39.23°, rel. 81; 2.276 Å, 39.59°, rel. 73; 2.247 Å, 40.14°, rel. 74; 2.239 Å, 40.28°, rel. 74; 1.786 Å, 51.16°, rel. 31; 1.773 Å, 51.53°, rel. 32; 1.738 Å, 52.67°, rel. 34; 1.514 Å, 61.20°, rel. 30

=====

(12)
Structure and computed X-ray powder pattern of Sr2AlGaPt2 (a DFT-relaxed cell (GGA-PBE, Alexandria); CuKα).
No peak broadening, texture or thermal motion is included.

Structure:
```
data_Sr2AlGaPt2
_chemical_formula_sum 'Sr4 Al2 Ga2 Pt4'
_space_group_name_H-M_alt 'P 1'
_space_group_IT_number 1
_space_group_name_Hall 'P 1'
_cell_length_a 8.4287
_cell_length_b 8.4287
_cell_length_c 8.4287
_cell_angle_alpha 135.97
_cell_angle_beta 64.01
_cell_angle_gamma 135.99
loop_
_atom_site_label
_atom_site_fract_x
_atom_site_fract_y
_atom_site_fract_z
Sr1 0.1723 0.2465 0.4188
Sr2 0.3277 0.7465 0.0741
Sr3 0.6723 0.2535 0.9259
Sr4 0.8277 0.7535 0.5812
Al1 0.2500 0.7500 0.5000
Al2 0.7500 0.2500 0.5000
Ga1 0.2500 0.2500 0.0000
Ga2 0.7500 0.7500 0.0000
Pt1 0.0910 0.7422 0.8332
Pt2 0.4090 0.2422 0.6512
Pt3 0.5910 0.7578 0.3488
Pt4 0.9090 0.2578 0.1668
```

Peak list (12 most intense, 2θ from 10° to 90°, in order of rising 2θ)
7.147 Å, 12.38°, rel. 30; 3.788 Å, 23.48°, rel. 42; 3.159 Å, 28.25°, rel. 71; 2.791 Å, 32.07°, rel. 100; 2.367 Å, 38.02°, rel. 54; 2.234 Å, 40.38°, rel. 57; 1.902 Å, 47.82°, rel. 14; 1.744 Å, 52.47°, rel. 50; 1.659 Å, 55.38°, rel. 26; 1.579 Å, 58.43°, rel. 19; 1.332 Å, 70.74°, rel. 25; 1.314 Å, 71.86°, rel. 16